# Dy12Er2Tm
Calculated X-ray powder pattern, Cu Kα (λ = 1.5418 Å). Input: a structure optimized by DFT (GGA-PBE).
Intensities are scaled so that the largest is 100.

```
Dy12Er2Tm
1.0
3.551 0.000 0.000
0.000 5.337 0.000
-1.764 0.000 24.904
Dy Er Tm
12 2 1
direct
0.036 0.000 0.069
0.106 0.000 0.206
0.171 0.000 0.334
0.215 0.500 0.426
0.275 0.000 0.554
0.429 0.500 0.862
0.571 0.500 0.138
0.725 0.000 0.446
0.785 0.500 0.574
0.829 0.000 0.666
0.894 0.000 0.794
0.964 0.000 0.931
0.356 0.500 0.719
0.644 0.500 0.281
0.500 0.500 0.000
```

The 6 most intense peaks (2θ from 15° to 90°), low angle first:
30.24°, I 100.0; 32.80°, I 22.1; 33.58°, I 36.8; 34.41°, I 31.6; 37.07°, I 18.5; 57.99°, I 16.4